Theoretical powder XRD pattern
Compound: LiTmB4
Radiation: Cu Kα X-rays
Structure: DFT lattice parameters and positions (PBE)
Peak positions follow from Bragg's law for the DFT cell and can differ from measured ones.

Largest 10 diffraction maxima, in order of falling intensity, 10 to 80 degrees two-theta:
| two_theta | I/Imax |
| --- | --- |
| 21.80 | 100 |
| 40.83 | 83 |
| 33.35 | 82 |
| 37.81 | 67 |
| 17.13 | 65 |
| 24.92 | 63 |
| 31.82 | 61 |
| 27.97 | 60 |
| 30.40 | 40 |
| 40.36 | 40 |

Atomic structure:
Cell: 5.8024 11.4552 3.5734 Å, 90.00 90.00 90.00°
Positions (direct):
1 Li 0.1292 0.0849 0.0000
2 Li 0.3708 0.5849 0.0000
3 Li 0.6292 0.4151 0.0000
4 Li 0.8708 0.9151 0.0000
5 Tm 0.1236 0.3484 0.0000
6 Tm 0.3764 0.8484 0.0000
7 Tm 0.6236 0.1516 0.0000
8 Tm 0.8764 0.6516 0.0000
9 B 0.0292 0.8061 0.5000
10 B 0.1115 0.9501 0.5000
11 B 0.1364 0.5329 0.5000
12 B 0.2131 0.6860 0.5000
13 B 0.2869 0.1860 0.5000
14 B 0.3636 0.0329 0.5000
15 B 0.3885 0.4501 0.5000
16 B 0.4708 0.3061 0.5000
17 B 0.5292 0.6939 0.5000
18 B 0.6115 0.5499 0.5000
19 B 0.6364 0.9671 0.5000
20 B 0.7131 0.8140 0.5000
21 B 0.7869 0.3140 0.5000
22 B 0.8636 0.4671 0.5000
23 B 0.8885 0.0499 0.5000
24 B 0.9708 0.1939 0.5000

Theoretical powder XRD pattern
Compound: LiTmB12
Radiation: Cu Kα X-rays
Structure: DFT lattice parameters and positions (PBE)
Peak positions follow from Bragg's law for the DFT cell and can differ from measured ones.

Largest 10 diffraction maxima, in order of falling intensity, 10 to 80 degrees two-theta:
| two_theta | I/Imax |
| --- | --- |
| 10.76 | 100 |
| 30.76 | 69 |
| 24.21 | 63 |
| 32.68 | 37 |
| 49.59 | 33 |
| 37.91 | 31 |
| 21.62 | 27 |
| 45.50 | 24 |
| 68.48 | 21 |
| 39.52 | 18 |

Atomic structure:
Cell: 4.1096 4.1096 8.2231 Å, 90.00 90.00 90.00°
Positions (direct):
1 Li 0.0000 0.0000 0.0000
2 Tm 0.0000 0.0000 0.5000
3 B 0.2002 0.5000 0.2526
4 B 0.2002 0.5000 0.7474
5 B 0.5000 0.2002 0.2526
6 B 0.5000 0.2002 0.7474
7 B 0.5000 0.5000 0.1011
8 B 0.5000 0.5000 0.4012
9 B 0.5000 0.5000 0.5988
10 B 0.5000 0.5000 0.8989
11 B 0.5000 0.7998 0.2526
12 B 0.5000 0.7998 0.7474
13 B 0.7998 0.5000 0.2526
14 B 0.7998 0.5000 0.7474

Theoretical powder XRD pattern
Compound: LiTm2B10
Radiation: Cu Kα X-rays
Structure: DFT lattice parameters and positions (PBE)
Peak positions follow from Bragg's law for the DFT cell and can differ from measured ones.

Largest 10 diffraction maxima, in order of falling intensity, 10 to 80 degrees two-theta:
| two_theta | I/Imax |
| --- | --- |
| 31.42 | 100 |
| 22.58 | 73 |
| 21.56 | 50 |
| 39.20 | 32 |
| 49.95 | 28 |
| 32.34 | 25 |
| 38.87 | 23 |
| 31.95 | 18 |
| 72.95 | 16 |
| 51.43 | 16 |

Atomic structure:
Cell: 5.6031 11.0742 4.1218 Å, 90.00 90.00 90.00°
Positions (direct):
1 Li 0.0000 0.0000 0.0000
2 Li 0.5000 0.5000 0.0000
3 Tm 0.1970 0.3622 0.5000
4 Tm 0.3030 0.8622 0.5000
5 Tm 0.6970 0.1378 0.5000
6 Tm 0.8030 0.6378 0.5000
7 B 0.0449 0.1891 0.0000
8 B 0.1195 0.5427 0.0000
9 B 0.1469 0.6997 0.0000
10 B 0.2148 0.1178 0.3023
11 B 0.2148 0.1178 0.6977
12 B 0.2852 0.6178 0.3023
13 B 0.2852 0.6178 0.6977
14 B 0.3531 0.1997 0.0000
15 B 0.3805 0.0427 0.0000
16 B 0.4551 0.6891 0.0000
17 B 0.5449 0.3109 0.0000
18 B 0.6195 0.9573 0.0000
19 B 0.6469 0.8003 0.0000
20 B 0.7148 0.3822 0.3023
21 B 0.7148 0.3822 0.6977
22 B 0.7852 0.8822 0.3023
23 B 0.7852 0.8822 0.6977
24 B 0.8531 0.3003 0.0000
25 B 0.8805 0.4573 0.0000
26 B 0.9551 0.8109 0.0000

Theoretical powder XRD pattern
Compound: LiUB12
Radiation: Cu Kα X-rays
Structure: DFT lattice parameters and positions (PBE)
Peak positions follow from Bragg's law for the DFT cell and can differ from measured ones.

Largest 10 diffraction maxima, in order of falling intensity, 10 to 80 degrees two-theta:
| two_theta | I/Imax |
| --- | --- |
| 10.75 | 100 |
| 30.78 | 66 |
| 24.23 | 64 |
| 32.70 | 38 |
| 21.63 | 35 |
| 37.94 | 29 |
| 45.53 | 25 |
| 49.59 | 22 |
| 39.50 | 19 |
| 68.53 | 19 |

Atomic structure:
Cell: 4.1037 4.1037 8.2332 Å, 90.00 90.00 90.00°
Positions (direct):
1 Li 0.0000 0.0000 0.0000
2 U 0.0000 0.0000 0.5000
3 B 0.1998 0.5000 0.2520
4 B 0.1998 0.5000 0.7480
5 B 0.5000 0.1998 0.2520
6 B 0.5000 0.1998 0.7480
7 B 0.5000 0.5000 0.1010
8 B 0.5000 0.5000 0.4015
9 B 0.5000 0.5000 0.5985
10 B 0.5000 0.5000 0.8990
11 B 0.5000 0.8002 0.2520
12 B 0.5000 0.8002 0.7480
13 B 0.8002 0.5000 0.2520
14 B 0.8002 0.5000 0.7480

Theoretical powder XRD pattern
Compound: LuB12
Radiation: Cu Kα X-rays
Structure: DFT lattice parameters and positions (PBE)
Peak positions follow from Bragg's law for the DFT cell and can differ from measured ones.

Largest 10 diffraction maxima, in order of falling intensity, 10 to 80 degrees two-theta:
| two_theta | I/Imax |
| --- | --- |
| 40.10 | 100 |
| 20.63 | 99 |
| 23.86 | 74 |
| 34.00 | 45 |
| 53.56 | 34 |
| 75.40 | 31 |
| 41.96 | 30 |
| 60.85 | 29 |
| 55.07 | 25 |
| 76.66 | 21 |

Atomic structure:
Cell: 5.2737 5.2737 5.2737 Å, 60.00 60.00 60.00°
Positions (direct):
1 Lu 0.0000 0.0000 0.0000
2 B 0.1620 0.5000 0.5000
3 B 0.1620 0.5000 0.8380
4 B 0.1620 0.8380 0.5000
5 B 0.5000 0.1620 0.5000
6 B 0.5000 0.1620 0.8380
7 B 0.5000 0.5000 0.1620
8 B 0.5000 0.5000 0.8380
9 B 0.5000 0.8380 0.1620
10 B 0.5000 0.8380 0.5000
11 B 0.8380 0.1620 0.5000
12 B 0.8380 0.5000 0.1620
13 B 0.8380 0.5000 0.5000

Theoretical powder XRD pattern
Compound: LuB6N6
Radiation: Cu Kα X-rays
Structure: DFT lattice parameters and positions (PBE)
Peak positions follow from Bragg's law for the DFT cell and can differ from measured ones.

Largest 10 diffraction maxima, in order of falling intensity, 10 to 80 degrees two-theta:
| two_theta | I/Imax |
| --- | --- |
| 19.17 | 100 |
| 48.15 | 53 |
| 43.73 | 49 |
| 27.25 | 44 |
| 33.53 | 31 |
| 38.91 | 25 |
| 77.10 | 25 |
| 59.95 | 24 |
| 67.06 | 14 |
| 63.56 | 10 |

Atomic structure:
Cell: 4.6288 4.6288 4.6288 Å, 90.00 90.00 90.00°
Positions (direct):
1 Lu 0.0000 0.0000 0.0000
2 B 0.0000 0.2371 0.5000
3 B 0.0000 0.7629 0.5000
4 B 0.2371 0.5000 0.0000
5 B 0.5000 0.0000 0.2371
6 B 0.5000 0.0000 0.7629
7 B 0.7629 0.5000 0.0000
8 N 0.0000 0.5000 0.2494
9 N 0.0000 0.5000 0.7506
10 N 0.2494 0.0000 0.5000
11 N 0.5000 0.2494 0.0000
12 N 0.5000 0.7506 0.0000
13 N 0.7506 0.0000 0.5000